# 1
Calculated XRD peak list of Tm4Sb2Pb for Cu Kα, from a structure optimized by DFT (PBE).
Intensities are scaled so that the largest is 100.

Peak list (6 most intense, 5 to 70 degrees two-theta, by angle)
2θ 18.56, intensity 38
2θ 26.37, intensity 46
2θ 29.60, intensity 51
2θ 30.07, intensity 100
2θ 35.17, intensity 75
2θ 37.63, intensity 42

```
Tm4Sb2Pb
1.0
-4.7804 4.7804 4.6905
4.7804 -4.7804 4.6905
4.7804 4.7804 -4.6905
Tm Sb Pb
8 4 2
direct
0.1904 0.2540 0.5636
0.1904 0.6268 0.9364
0.2540 0.1904 0.0636
0.3732 0.8096 0.5636
0.6268 0.1904 0.4364
0.7460 0.8096 0.9364
0.8096 0.3732 0.0636
0.8096 0.7460 0.4364
0.0000 0.5000 0.5000
0.5000 0.0000 0.0000
0.5000 0.5000 0.0000
0.5000 0.5000 0.5000
0.1250 0.8750 0.2500
0.8750 0.1250 0.7500
```

***

# 2
Calculated XRD peak list of V2Sb2Pb for Cu Kα, from a structure optimized by DFT (PBE).
Intensities are scaled so that the largest is 100.

Peak list (6 most intense, 5 to 70 degrees two-theta, by angle)
2θ 30.73, intensity 35
2θ 32.91, intensity 12
2θ 34.97, intensity 25
2θ 36.93, intensity 100
2θ 53.22, intensity 18
2θ 66.53, intensity 19

```
V2Sb2Pb
1.0
7.6976 0.0000 0.0000
0.0000 7.6976 0.0000
0.0000 0.0000 3.4425
V Sb Pb
4 4 2
direct
0.1409 0.3591 0.0000
0.3591 0.8591 0.0000
0.6409 0.1409 0.0000
0.8591 0.6409 0.0000
0.1473 0.6473 0.5000
0.3527 0.1473 0.5000
0.6473 0.8527 0.5000
0.8527 0.3527 0.5000
0.0000 0.0000 0.0000
0.5000 0.5000 0.0000
```

***

# 3
Calculated XRD peak list of SbPb2W for Cu Kα, from a structure optimized by DFT (PBE).
Intensities are scaled so that the largest is 100.

Peak list (6 most intense, 5 to 70 degrees two-theta, by angle)
2θ 28.01, intensity 16
2θ 33.52, intensity 100
2θ 37.02, intensity 50
2θ 49.39, intensity 15
2θ 53.35, intensity 18
2θ 64.50, intensity 31

```
SbPb2W
1.0
3.4351 0.0000 0.0000
0.0000 3.4337 0.0000
-0.0081 0.0000 8.5153
Sb Pb W
1 2 1
direct
0.0000 0.0000 0.0000
0.5039 0.5000 0.2801
0.9988 0.0000 0.6047
0.4994 0.5000 0.8395
```

***

# 4
Calculated XRD peak list of Y5Sb2Pb for Cu Kα, from a structure optimized by DFT (PBE).
Intensities are scaled so that the largest is 100.

Peak list (6 most intense, 5 to 70 degrees two-theta, by angle)
2θ 27.85, intensity 63
2θ 29.83, intensity 100
2θ 30.06, intensity 97
2θ 30.21, intensity 38
2θ 36.28, intensity 36
2θ 37.18, intensity 85

```
Y5Sb2Pb
1.0
6.1227 0.0000 0.0000
1.4719 5.9951 0.0000
0.1022 0.2703 6.4072
Y Sb Pb
5 2 1
direct
0.0000 0.0000 0.0000
0.0181 0.0335 0.4856
0.4463 0.5227 0.2436
0.4912 0.1197 0.7513
0.8869 0.5375 0.7300
0.3627 0.6449 0.7436
0.9514 0.5100 0.2293
0.5206 0.0103 0.2580
```